Diffraction record for LaNdSbP. The powder XRD pattern is theoretical, not measured: it uses the PBE geometry in Alexandria and Cu Kα X-rays.

Atomic structure:
abc: 4.3712 4.3712 21.7765
angles: 90.00 90.00 120.00
Space group R3m (No. 160, hexagonal axes)
Symmetry-distinct sites (fractional):
La 0.0000 0.0000 0.0000 [3 per cell]
Nd 0.0000 0.0000 0.4852 [3 per cell]
Sb 0.0000 0.0000 0.2408 [3 per cell]
P 0.0000 0.0000 0.7436 [3 per cell]

Top 12 peaks for 2θ from 15° to 90°, by angle:
| h k l | 2theta | I/Imax |
| --- | --- | --- |
| 1 0 1 | 23.9 | 9.0 |
| 0 1 2 | 24.9 | 12.4 |
| 1 0 4 | 28.7 | 100.0 |
| 0 1 5 | 31.3 | 10.4 |
| 0 1 8 | 40.8 | 35.7 |
| 1 1 0 | 41.3 | 37.9 |
| 0 2 4 | 51.1 | 19.9 |
| 1 1 9 | 56.8 | 6.7 |
| 2 0 8 | 59.5 | 11.7 |
| 1 1 12 | 67.0 | 14.4 |
| 2 1 4 | 67.7 | 16.9 |
| 1 2 8 | 75.0 | 11.7 |

---

Diffraction record for PaTaTe4. The powder XRD pattern is theoretical, not measured: it uses the PBE geometry in Alexandria and Cu Kα X-rays.

Atomic structure:
abc: 15.7848 3.9659 6.8679
angles: 90.00 114.58 90.00
Space group C2/m (No. 12)
Symmetry-distinct sites (fractional):
Pa 0.0000 0.0000 0.0000 [2 per cell]
Ta 0.0000 0.5000 0.5000 [2 per cell]
Te 0.1249 0.0000 0.7681 [4 per cell]
Te 0.1324 0.5000 0.3135 [4 per cell]

Top 12 peaks for 2θ from 15° to 90°, by angle:
| h k l | 2theta | I/Imax |
| --- | --- | --- |
| 1 1 1 | 28.7 | 100.0 |
| 4 0 -2 | 29.1 | 50.4 |
| 2 0 2 | 35.8 | 17.2 |
| 3 1 1 | 36.0 | 30.5 |
| 5 1 -1 | 36.4 | 38.0 |
| 6 0 -2 | 36.6 | 12.9 |
| 0 2 0 | 45.8 | 59.4 |
| 7 1 -1 | 46.5 | 24.1 |
| 8 0 0 | 50.9 | 11.6 |
| 4 2 -2 | 55.1 | 16.9 |
| 8 2 0 | 70.9 | 16.5 |
| 11 1 -3 | 71.6 | 8.3 |

---

Diffraction record for Ho6Cu5Ni. The powder XRD pattern is theoretical, not measured: it uses the PBE geometry in Alexandria and Cu Kα X-rays.

Atomic structure:
abc: 4.8578 14.6014 6.8636
angles: 90.00 90.00 90.00
Space group Cmmm (No. 65)
Symmetry-distinct sites (fractional):
Ho 0.0000 0.0000 0.2454 [4 per cell]
Ho 0.0000 0.3358 0.2480 [8 per cell]
Cu 0.0000 0.1672 0.5000 [4 per cell]
Cu 0.0000 0.1692 0.0000 [4 per cell]
Cu 0.0000 0.5000 0.5000 [2 per cell]
Ni 0.0000 0.5000 0.0000 [2 per cell]

Top 12 peaks for 2θ from 15° to 90°, by angle:
| h k l | 2theta | I/Imax |
| --- | --- | --- |
| 1 3 0 | 25.9 | 20.5 |
| 2 0 0 | 37.0 | 100.0 |
| 2 0 2 | 45.7 | 6.2 |
| 2 6 0 | 53.3 | 11.5 |
| 0 0 4 | 53.4 | 5.7 |
| 2 6 2 | 60.2 | 4.3 |
| 3 3 0 | 60.3 | 4.3 |
| 3 3 2 | 66.7 | 28.7 |
| 2 0 4 | 66.7 | 5.7 |
| 0 12 0 | 78.6 | 1.8 |
| 4 0 0 | 78.8 | 8.9 |
| 4 0 2 | 84.6 | 3.0 |

---

Diffraction record for Ac2Pr6Nd5. The powder XRD pattern is theoretical, not measured: it uses the PBE geometry in Alexandria and Cu Kα X-rays.

Atomic structure:
abc: 12.2903 21.2079 3.7494
angles: 90.00 90.00 90.00
Space group Pbam (No. 55)
Symmetry-distinct sites (fractional):
Ac 0.1685 0.2199 0.0000 [4 per cell]
Pr 0.0580 0.9245 0.0000 [4 per cell]
Pr 0.0727 0.6369 0.0000 [4 per cell]
Pr 0.1841 0.3776 0.5000 [4 per cell]
Nd 0.0000 0.5000 0.5000 [2 per cell]
Nd 0.0905 0.7815 0.5000 [4 per cell]
Nd 0.2028 0.0545 0.5000 [4 per cell]

Top 12 peaks for 2θ from 15° to 90°, by angle:
| h k l | 2theta | I/Imax |
| --- | --- | --- |
| 0 6 0 | 25.2 | 23.2 |
| 1 6 0 | 26.2 | 30.7 |
| 2 2 1 | 29.1 | 22.1 |
| 4 1 0 | 29.4 | 65.0 |
| 1 4 1 | 30.1 | 47.2 |
| 3 5 0 | 30.3 | 39.4 |
| 1 7 0 | 30.4 | 60.5 |
| 2 3 1 | 30.7 | 100.0 |
| 2 4 1 | 32.7 | 41.3 |
| 3 6 0 | 33.5 | 25.0 |
| 3 3 1 | 34.8 | 30.1 |
| 1 7 2 | 58.4 | 36.1 |